Entry 1:
Computed powder diffractogram of Sr3AsP for Cu Kα X-rays, from a crystal structure in the Materials Project, relaxed with GGA-PBE.
No peak broadening, texture or thermal motion is included.

Principal peaks in the range 10° ≤ 2θ ≤ 80°, by angle:
- 15.55 deg, d 5.700, rel. 6, hkl 1 0 0
- 22.05 deg, d 4.031, rel. 1, hkl 1 1 0
- 27.10 deg, d 3.291, rel. 100, hkl 1 1 1
- 31.39 deg, d 2.850, rel. 74, hkl 2 0 0
- 35.21 deg, d 2.549, rel. 3, hkl 2 1 0
- 44.98 deg, d 2.015, rel. 53, hkl 2 2 0
- 47.88 deg, d 1.900, rel. 1, hkl 3 0 0
- 53.30 deg, d 1.719, rel. 46, hkl 3 1 1
- 55.88 deg, d 1.645, rel. 19, hkl 2 2 2
- 65.50 deg, d 1.425, rel. 9, hkl 4 0 0
- 72.25 deg, d 1.308, rel. 18, hkl 3 3 1
- 74.44 deg, d 1.275, rel. 24, hkl 4 2 0

Structure:
Cell lengths 5.700, 5.700, 5.700 Å; angles 90.00, 90.00, 90.00 degrees
Space group Pm-3m (No. 221)
Asymmetric unit:
Sr: 0.000 0.000 0.500 x3
As: 0.500 0.500 0.500 x1
P: 0.000 0.000 0.000 x1

Entry 2:
Computed powder diffractogram of VCr2Te4 for Cu Kα X-rays, from a crystal structure in the Materials Project, relaxed with GGA-PBE.
No peak broadening, texture or thermal motion is included.

Principal peaks in the range 10° ≤ 2θ ≤ 80°, by angle:
- 29.13 deg, d 3.066, rel. 53, hkl 0 0 2
- 29.40 deg, d 3.038, rel. 91, hkl 1 1 1
- 29.70 deg, d 3.008, rel. 100, hkl 4 0 -2
- 38.95 deg, d 2.312, rel. 31, hkl 3 1 1
- 39.41 deg, d 2.287, rel. 29, hkl 5 1 -1
- 39.54 deg, d 2.279, rel. 15, hkl 6 0 -2
- 45.02 deg, d 2.014, rel. 51, hkl 3 1 -3
- 45.27 deg, d 2.003, rel. 26, hkl 0 2 0
- 52.17 deg, d 1.753, rel. 18, hkl 7 1 -1
- 54.74 deg, d 1.677, rel. 18, hkl 0 2 2
- 55.09 deg, d 1.667, rel. 16, hkl 4 2 -2
- 60.38 deg, d 1.533, rel. 13, hkl 8 0 0

Structure:
Cell lengths 13.982, 4.006, 6.991 Å; angles 90.00, 118.70, 90.00 degrees
Space group C2/m (No. 12)
Asymmetric unit:
V: 0.000 0.000 0.000 x2
Cr: 0.240 0.500 0.723 x4
Te: 0.120 0.000 0.451 x4
Te: 0.131 0.500 0.971 x4